Diffraction record for Pm7Co2Sn2. The powder X-ray diffraction pattern is computed, not measured: it uses the PBE geometry in Alexandria and Cu Ka.
No peak broadening, texture or thermal motion is included.

Lattice parameters (Å, degrees): 6.9316 6.9316 7.1073 90.00 90.00 108.65
Atoms (fractional coordinates):
Pm 0.0000 0.0000 0.0000
Pm 0.0000 0.5000 0.2440
Pm 0.0000 0.5000 0.7560
Pm 0.5000 0.0000 0.2440
Pm 0.5000 0.0000 0.7560
Pm 0.5000 0.5000 0.2299
Pm 0.5000 0.5000 0.7701
Co 0.2882 0.7118 0.0000
Co 0.7118 0.2882 0.0000
Sn 0.1782 0.1782 0.5000
Sn 0.8218 0.8218 0.5000

Main lines, in order of rising 2θ (10 to 90 degrees two-theta):
2θ (°)	I (rel.)
27.15	70
28.56	54
29.73	32
31.78	71
36.55	53
37.28	100



Diffraction record for Nb12TlTe15As. The powder X-ray diffraction pattern is computed, not measured: it uses the PBE geometry in Alexandria and Cu Ka.
No peak broadening, texture or thermal motion is included.

Lattice parameters (Å, degrees): 10.7293 10.7293 7.3149 90.00 90.00 120.00
Atoms (fractional coordinates):
Nb 0.0452 0.8144 0.0000
Nb 0.0489 0.8203 0.5000
Nb 0.1681 0.4461 0.2682
Nb 0.1681 0.4461 0.7318
Nb 0.1797 0.2285 0.5000
Nb 0.1856 0.2308 0.0000
Nb 0.2781 0.8319 0.2682
Nb 0.2781 0.8319 0.7318
Nb 0.5539 0.7219 0.2682
Nb 0.5539 0.7219 0.7318
Nb 0.7692 0.9548 0.0000
Nb 0.7715 0.9511 0.5000
Tl 0.6667 0.3333 0.5000
Te 0.0000 0.0000 0.2477
Te 0.0000 0.0000 0.7523
Te 0.3245 0.0449 0.0000
Te 0.3264 0.0570 0.5000
Te 0.3333 0.6667 0.0000
Te 0.4012 0.3976 0.2525
Te 0.4012 0.3976 0.7475
Te 0.6024 0.0035 0.2525
Te 0.6024 0.0035 0.7475
Te 0.7205 0.6755 0.0000
Te 0.7307 0.6736 0.5000
Te 0.9430 0.2693 0.5000
Te 0.9551 0.2795 0.0000
Te 0.9965 0.5988 0.2525
Te 0.9965 0.5988 0.7475
As 0.3333 0.6667 0.5000

Main lines, in order of rising 2θ (10 to 90 degrees two-theta):
2θ (°)	I (rel.)
28.83	48
31.12	63
34.81	80
35.44	100
41.76	42
76.32	32